(1)
For SrPaAlO5, DFT lattice parameters and positions (GGA-PBE) gives the simulated powder diffractogram in this record (λ = 1.5418 Å (Cu Kα)).
No peak broadening, texture or thermal motion is included.

Atomic structure:
abc: 5.9918 5.9918 7.9459
angles: 103.73 103.73 106.62
Fractional coordinates of all 16 atoms:
Sr  0.1611  0.8389  0.7500
Sr  0.8389  0.1611  0.2500
Pa  0.5000  0.5000  0.0000
Pa  0.5000  0.5000  0.5000
Al  0.1833  0.8167  0.2500
Al  0.8167  0.1833  0.7500
O  0.1178  0.2461  0.9024
O  0.1889  0.6045  0.3759
O  0.2461  0.1178  0.4024
O  0.3955  0.8111  0.1241
O  0.4149  0.5851  0.7500
O  0.5851  0.4149  0.2500
O  0.6045  0.1889  0.8759
O  0.7539  0.8822  0.5976
O  0.8111  0.3955  0.6241
O  0.8822  0.7539  0.0976

The 10 most intense peaks (5 to 70 degrees two-theta), sorted by position:
two_theta	Rel. int.
16.34	882
18.47	312
24.55	1000
27.14	527
30.78	509
31.06	618
33.82	271
34.13	247
39.81	252
50.48	207


(2)
For Ho2Cu3Si2, DFT lattice parameters and positions (GGA-PBE) gives the simulated powder diffractogram in this record (λ = 1.5418 Å (Cu Kα)).
No peak broadening, texture or thermal motion is included.

Atomic structure:
abc: 5.4391 5.4391 6.3852
angles: 112.11 112.11 43.37
Fractional coordinates of all 7 atoms:
Ho  0.1494  0.1494  0.2605
Ho  0.8506  0.8506  0.7395
Cu  0.3945  0.3945  0.0752
Cu  0.5000  0.5000  0.5000
Cu  0.6055  0.6055  0.9248
Si  0.1391  0.1391  0.7301
Si  0.8609  0.8609  0.2699

The 10 most intense peaks (5 to 70 degrees two-theta), sorted by position:
two_theta	Rel. int.
19.06	329
26.43	552
30.69	1000
34.93	475
35.53	358
36.03	550
36.76	727
39.76	724
42.49	965
45.12	512


(3)
For Tb2Tm4Th, DFT lattice parameters and positions (GGA-PBE) gives the simulated powder diffractogram in this record (λ = 1.5418 Å (Cu Kα)).
No peak broadening, texture or thermal motion is included.

Atomic structure:
abc: 19.9264 19.9264 19.9264
angles: 10.26 10.26 10.26
Fractional coordinates of all 7 atoms:
Tb  0.0000  0.0000  0.0000
Tb  0.0950  0.0950  0.0950
Tm  0.1890  0.1890  0.1890
Tm  0.2856  0.2856  0.2856
Tm  0.7141  0.7141  0.7141
Tm  0.8091  0.8091  0.8091
Th  0.9039  0.9039  0.9039

The 10 most intense peaks (5 to 70 degrees two-theta), sorted by position:
two_theta	Rel. int.
28.97	369
31.60	527
32.69	1000
33.43	958
51.27	414
56.49	209
57.93	203
61.49	480
62.15	161
62.61	160


(4)
For NaSr2Tl2Pb2, DFT lattice parameters and positions (GGA-PBE) gives the simulated powder diffractogram in this record (λ = 1.5418 Å (Cu Kα)).
No peak broadening, texture or thermal motion is included.

Atomic structure:
abc: 8.9774 8.9774 8.9774
angles: 36.98 36.98 36.98
Fractional coordinates of all 7 atoms:
Na  0.0000  0.0000  0.0000
Sr  0.1371  0.1371  0.1371
Sr  0.8629  0.8629  0.8629
Tl  0.2878  0.2878  0.2878
Tl  0.7122  0.7122  0.7122
Pb  0.4296  0.4296  0.4296
Pb  0.5704  0.5704  0.5704

The 10 most intense peaks (5 to 70 degrees two-theta), sorted by position:
two_theta	Rel. int.
18.33	354
30.86	1000
31.42	970
38.26	114
44.62	368
54.53	218
55.59	387
55.93	193
64.31	120
65.57	120


(5)
For BaYCu2Cl8, DFT lattice parameters and positions (GGA-PBE) gives the simulated powder diffractogram in this record (λ = 1.5418 Å (Cu Kα)).
No peak broadening, texture or thermal motion is included.

Atomic structure:
abc: 6.4092 6.4092 9.0865
angles: 90.00 90.00 120.00
Fractional coordinates of all 12 atoms:
Ba  0.0000  0.0000  0.0000
Y  0.0000  0.0000  0.5000
Cu  0.3333  0.6667  0.7463
Cu  0.6667  0.3333  0.2537
Cl  0.0120  0.6885  0.3138
Cl  0.3115  0.3235  0.3138
Cl  0.3235  0.0120  0.6862
Cl  0.3333  0.6667  0.9924
Cl  0.6667  0.3333  0.0076
Cl  0.6765  0.9880  0.3138
Cl  0.6885  0.6765  0.6862
Cl  0.9880  0.3115  0.6862

The 10 most intense peaks (5 to 70 degrees two-theta), sorted by position:
two_theta	Rel. int.
15.97	383
18.73	431
25.33	938
27.84	651
29.54	747
33.75	234
34.24	489
37.99	394
47.75	377
49.20	1000


(6)
For SrCuH6O5, DFT lattice parameters and positions (GGA-PBE) gives the simulated powder diffractogram in this record (λ = 1.5418 Å (Cu Kα)).
No peak broadening, texture or thermal motion is included.

Atomic structure:
abc: 5.4470 6.2680 8.0259
angles: 90.00 107.89 90.00
Fractional coordinates of all 26 atoms:
Sr  0.0000  0.0485  0.2500
Sr  0.0000  0.9515  0.7500
Cu  0.0000  0.5000  0.0000
Cu  0.0000  0.5000  0.5000
H  0.3403  0.2329  0.0303
H  0.3403  0.7671  0.5303
H  0.3706  0.4509  0.3976
H  0.3706  0.5491  0.8976
H  0.4331  0.2124  0.6457
H  0.4331  0.7876  0.1457
H  0.5669  0.2124  0.8543
H  0.5669  0.7876  0.3543
H  0.6294  0.4509  0.1024
H  0.6294  0.5491  0.6024
H  0.6597  0.2329  0.4697
H  0.6597  0.7671  0.9697
O  0.1531  0.2200  0.0034
O  0.1531  0.7800  0.5034
O  0.2842  0.3435  0.4475
O  0.2842  0.6565  0.9475
O  0.5000  0.1175  0.7500
O  0.5000  0.8825  0.2500
O  0.7158  0.3435  0.0525
O  0.7158  0.6565  0.5525
O  0.8469  0.2200  0.4966
O  0.8469  0.7800  0.9966

The 10 most intense peaks (5 to 70 degrees two-theta), sorted by position:
two_theta	Rel. int.
17.11	1000
27.35	978
28.25	406
33.41	302
36.18	325
37.26	165
38.27	336
45.41	206
50.34	275
53.05	170


Q: Which formula does entry 1 have?
A: SrPaAlO5


Q: Number 5 is which compound?
A: BaYCu2Cl8